K3H4Cl3O2: simulated powder diffractogram (λ = 1.5418 Å (Cu Kα)), based on a crystal structure in Alexandria, relaxed with GGA-PBE.

a b c (Å): 5.371 19.150 5.931
angles (deg): 90.00 90.00 90.00
Space group Imm2 (No. 44)
Unique sites:
1 K 0.000 0.000 0.000 x2
2 K 0.000 0.331 0.379 x4
3 H 0.000 0.145 0.265 x4
4 H 0.000 0.183 0.034 x4
5 Cl 0.000 0.275 0.880 x4
6 Cl 0.000 0.500 0.275 x2
7 O 0.000 0.135 0.104 x4

The 10 most intense peaks (2θ = 10–80°), low angle first:
index	two_theta	d/Å	intensity
0 1 1	15.64	5.665	100
1 3 0	21.62	4.110	35
1 0 1	22.33	3.981	39
1 5 0	28.63	3.118	27
1 4 1	29.17	3.061	40
2 0 0	33.37	2.685	56
1 1 2	34.88	2.572	35
0 7 1	36.11	2.488	77
1 3 2	37.40	2.405	49
2 7 1	50.03	1.823	27